Entry 1:
Ac2Pm5Ge4: simulated PXRD pattern (copper Kα), based on a cell relaxed with PBE.

Top 8 peaks for 15° ≤ 2θ ≤ 90°, in order of rising 2θ:
2θ/deg, Rel. int.
23.39, 48
28.65, 100
30.11, 92
30.84, 99
32.15, 55
34.55, 36
40.01, 41
52.55, 35

Atomic structure:
```
Ac2Pm5Ge4
1.0
6.960 -3.483 0.000
6.960 3.483 0.000
-6.108 0.000 6.966
Ac Pm Ge
2 5 4
direct
0.204 0.204 0.152
0.796 0.796 0.848
0.197 0.722 0.631
0.278 0.803 0.369
0.500 0.500 0.000
0.722 0.197 0.631
0.803 0.278 0.369
0.202 0.202 0.787
0.274 0.274 0.590
0.726 0.726 0.410
0.798 0.798 0.213
```

Entry 2:
Pr4Nd2Dy3: simulated PXRD pattern (copper Kα), based on a cell relaxed with PBE.

Top 8 peaks for 15° ≤ 2θ ≤ 90°, in order of rising 2θ:
2θ/deg, Rel. int.
29.87, 43
30.77, 46
30.96, 100
31.32, 48
31.52, 45
45.70, 18
55.52, 18
60.71, 30

Atomic structure:
```
Pr4Nd2Dy3
1.0
8.794 -1.796 0.000
8.794 1.796 0.000
-1.738 0.000 9.787
Pr Nd Dy
4 2 3
direct
0.000 0.000 0.168
0.000 0.000 0.832
0.165 0.165 0.720
0.835 0.835 0.280
0.173 0.173 0.378
0.827 0.827 0.622
0.337 0.337 0.957
0.500 0.500 0.500
0.663 0.663 0.043
```

Entry 3:
PuTh4Sb5: simulated PXRD pattern (copper Kα), based on a cell relaxed with PBE.

Top 8 peaks for 15° ≤ 2θ ≤ 90°, in order of rising 2θ:
2θ/deg, Rel. int.
24.25, 17
28.07, 100
40.14, 65
49.59, 14
49.77, 14
65.69, 25
72.78, 14
73.01, 13

Atomic structure:
```
PuTh4Sb5
1.0
-2.253 3.178 11.212
2.253 -3.178 11.212
2.253 3.178 -11.212
Pu Th Sb
1 4 5
direct
0.000 0.000 0.000
0.198 0.198 0.000
0.400 0.400 0.000
0.600 0.600 0.000
0.802 0.802 0.000
0.098 0.598 0.500
0.299 0.799 0.500
0.500 0.000 0.500
0.701 0.201 0.500
0.902 0.402 0.500
```

Entry 4:
Tm8Tl3As3S: simulated PXRD pattern (copper Kα), based on a cell relaxed with PBE.

Top 8 peaks for 15° ≤ 2θ ≤ 90°, in order of rising 2θ:
2θ/deg, Rel. int.
30.66, 100
32.88, 10
41.41, 38
46.30, 34
56.52, 12
63.84, 11
68.89, 13
76.02, 10

Atomic structure:
```
Tm8Tl3As3S
1.0
6.788 -3.925 0.000
6.788 3.925 0.000
-4.516 0.000 7.584
Tm Tl As S
8 3 3 1
direct
0.237 0.237 0.716
0.237 0.742 0.716
0.258 0.763 0.284
0.262 0.262 0.286
0.738 0.738 0.714
0.742 0.237 0.716
0.763 0.258 0.284
0.763 0.763 0.284
0.000 0.000 0.000
0.000 0.500 0.000
0.500 0.000 0.000
0.000 0.500 0.500
0.500 0.000 0.500
0.500 0.500 0.500
0.000 0.000 0.500
```

What did the fourth record say?
Tm8Tl3As3S: simulated PXRD pattern (copper Kα), based on a cell relaxed with PBE.

Top 8 peaks for 15° ≤ 2θ ≤ 90°, in order of rising 2θ:
2θ/deg, Rel. int.
30.66, 100
32.88, 10
41.41, 38
46.30, 34
56.52, 12
63.84, 11
68.89, 13
76.02, 10

Atomic structure:
```
Tm8Tl3As3S
1.0
6.788 -3.925 0.000
6.788 3.925 0.000
-4.516 0.000 7.584
Tm Tl As S
8 3 3 1
direct
0.237 0.237 0.716
0.237 0.742 0.716
0.258 0.763 0.284
0.262 0.262 0.286
0.738 0.738 0.714
0.742 0.237 0.716
0.763 0.258 0.284
0.763 0.763 0.284
0.000 0.000 0.000
0.000 0.500 0.000
0.500 0.000 0.000
0.000 0.500 0.500
0.500 0.000 0.500
0.500 0.500 0.500
0.000 0.000 0.500
```